Diffraction record for Ho8In4CS3. The powder diffractogram is computed, not measured: it uses a structure optimized by DFT (PBE) and Cu Kα (weighted mean of Kα1 and Kα2).

Main lines, by angle (10 to 80 degrees two-theta):
Position (°2θ), d (Å), I (rel.)
27.5, 3.238, 12
28.3, 3.150, 19
31.3, 2.859, 100
33.3, 2.687, 34
34.2, 2.621, 20
41.2, 2.189, 28
48.2, 1.887, 33
58.2, 1.586, 15
58.6, 1.576, 10
60.4, 1.532, 14

```
Ho8In4CS3
1.0
6.5303 -3.7785 0.0000
6.5303 3.7785 0.0000
-4.3393 0.0000 7.8617
Ho In C S
8 4 1 3
direct
0.2160 0.2160 0.6884
0.2157 0.7561 0.6883
0.2439 0.7843 0.3117
0.2656 0.2656 0.2963
0.7344 0.7344 0.7037
0.7561 0.2157 0.6883
0.7843 0.2439 0.3117
0.7840 0.7840 0.3116
0.0000 0.0000 0.0000
0.0000 0.5000 0.0000
0.5000 0.0000 0.0000
0.5000 0.5000 0.0000
0.0000 0.0000 0.5000
0.0000 0.5000 0.5000
0.5000 0.0000 0.5000
0.5000 0.5000 0.5000
```